Record 1
Calculated PXRD pattern
Compound: NbCu3P4O16
Radiation: Cu Kα
Structure: the PBE geometry in Alexandria
Kinematic intensities with the Lorentz-polarization factor, no thermal factor.

Cell and atoms:
Lattice parameters (Å, degrees): 5.237 6.124 10.066 90.00 91.42 90.00
Space group Pm (No. 6)
Inequivalent atoms, fractional coordinates:
1 Nb 0.000 0.000 0.000 (multiplicity 1)
2 Cu 0.173 0.500 0.599 (multiplicity 1)
3 Cu 0.397 0.500 0.097 (multiplicity 1)
4 Cu 0.676 0.000 0.473 (multiplicity 1)
5 P 0.119 0.000 0.669 (multiplicity 1)
6 P 0.438 0.000 0.182 (multiplicity 1)
7 P 0.602 0.500 0.398 (multiplicity 1)
8 P 0.989 0.500 0.886 (multiplicity 1)
9 O 0.153 0.000 0.831 (multiplicity 1)
10 O 0.265 0.200 0.619 (multiplicity 2)
11 O 0.271 0.188 0.113 (multiplicity 2)
12 O 0.275 0.500 0.918 (multiplicity 1)
13 O 0.314 0.500 0.429 (multiplicity 1)
14 O 0.430 0.000 0.330 (multiplicity 1)
15 O 0.617 0.500 0.245 (multiplicity 1)
16 O 0.712 0.000 0.129 (multiplicity 1)
17 O 0.752 0.303 0.458 (multiplicity 2)
18 O 0.830 0.000 0.647 (multiplicity 1)
19 O 0.857 0.295 0.953 (multiplicity 2)
20 O 0.932 0.500 0.737 (multiplicity 1)

Largest 12 diffraction maxima, in order of rising 2θ, 10 to 80 degrees two-theta:
- (0 0 2), 2θ 17.63, d 5.031, rel. 83
- (1 0 -1), 2θ 18.91, d 4.692, rel. 100
- (1 0 1), 2θ 19.30, d 4.598, rel. 57
- (1 1 -1), 2θ 23.89, d 3.725, rel. 25
- (1 0 -2), 2θ 24.22, d 3.675, rel. 79
- (1 1 -2), 2θ 28.33, d 3.150, rel. 26
- (1 1 2), 2θ 28.87, d 3.093, rel. 32
- (0 2 0), 2θ 29.17, d 3.062, rel. 90
- (1 2 -1), 2θ 34.99, d 2.564, rel. 31
- (2 0 -1), 2θ 35.21, d 2.549, rel. 36
- (1 1 3), 2θ 35.32, d 2.541, rel. 24
- (2 0 1), 2θ 35.66, d 2.518, rel. 31



Record 2
Calculated PXRD pattern
Compound: NbCuSbO6
Radiation: Cu Kα
Structure: the PBE geometry in Alexandria
Kinematic intensities with the Lorentz-polarization factor, no thermal factor.

Cell and atoms:
Lattice parameters (Å, degrees): 5.2754 5.2754 8.9976 90.00 90.00 120.00
Space group P-31c (No. 163)
Inequivalent atoms, fractional coordinates:
1 Nb 0.3333 0.6667 0.2500 (multiplicity 2)
2 Cu 0.0000 0.0000 0.0000 (multiplicity 2)
3 Sb 0.3333 0.6667 0.7500 (multiplicity 2)
4 O 0.0016 0.3512 0.6311 (multiplicity 12)

Largest 12 diffraction maxima, in order of rising 2θ, 10 to 80 degrees two-theta:
- (1 0 0), 2θ 19.43, d 4.569, rel. 8
- (0 0 2), 2θ 19.73, d 4.499, rel. 30
- (1 0 2), 2θ 27.83, d 3.206, rel. 100
- (1 1 0), 2θ 33.99, d 2.638, rel. 52
- (1 1 2), 2θ 39.61, d 2.275, rel. 33
- (2 0 2), 2θ 44.48, d 2.037, rel. 27
- (1 1 4), 2θ 53.54, d 1.712, rel. 53
- (2 1 2), 2θ 57.14, d 1.612, rel. 25
- (3 0 0), 2θ 60.83, d 1.523, rel. 22
- (1 0 6), 2θ 65.51, d 1.425, rel. 8
- (3 0 4), 2θ 75.37, d 1.261, rel. 8
- (4 -1 2), 2θ 78.41, d 1.220, rel. 10



Record 3
Calculated PXRD pattern
Compound: Sr2SmNbCu2O8
Radiation: Cu Kα
Structure: the PBE geometry in Alexandria
Kinematic intensities with the Lorentz-polarization factor, no thermal factor.

Cell and atoms:
Lattice parameters (Å, degrees): 5.520 5.520 23.685 90.00 90.00 90.00
Space group I4/mcm (No. 140)
Inequivalent atoms, fractional coordinates:
1 Sr 0.000 0.500 0.100 (multiplicity 8)
2 Sm 0.000 0.500 0.250 (multiplicity 4)
3 Nb 0.000 0.000 0.000 (multiplicity 4)
4 Cu 0.000 0.000 0.180 (multiplicity 8)
5 O 0.000 0.000 0.084 (multiplicity 8)
6 O 0.181 0.319 0.000 (multiplicity 8)
7 O 0.246 0.254 0.314 (multiplicity 16)

Largest 12 diffraction maxima, in order of rising 2θ, 10 to 80 degrees two-theta:
- (1 1 2), 2θ 24.01, d 3.707, rel. 12
- (1 1 6), 2θ 32.25, d 2.775, rel. 100
- (2 0 0), 2θ 32.44, d 2.760, rel. 56
- (1 1 8), 2θ 38.15, d 2.359, rel. 19
- (2 0 6), 2θ 39.86, d 2.262, rel. 8
- (0 0 12), 2θ 45.98, d 1.974, rel. 8
- (2 2 0), 2θ 46.54, d 1.951, rel. 35
- (2 0 12), 2θ 57.40, d 1.605, rel. 12
- (3 1 6), 2θ 57.75, d 1.596, rel. 40
- (2 2 12), 2θ 67.49, d 1.388, rel. 9
- (4 0 0), 2θ 67.93, d 1.380, rel. 10
- (4 2 0), 2θ 77.31, d 1.234, rel. 10